Starting from a cell relaxed with GGA+U, the PXRD pattern of Co15O28 was simulated for copper Kα.
Neutral-atom scattering factors, no anomalous dispersion.

Atomic structure:
```
data_Co15O28
_chemical_formula_sum 'Co15 O28'
_symmetry_space_group_name_H-M 'P -1'
_symmetry_Int_Tables_number 2
_symmetry_space_group_name_Hall '-P 1'
_cell_length_a 7.504
_cell_length_b 8.329
_cell_length_c 8.609
_cell_angle_alpha 105.82
_cell_angle_beta 105.30
_cell_angle_gamma 102.69
loop_
_atom_site_label
_atom_site_type_symbol
_atom_site_fract_x
_atom_site_fract_y
_atom_site_fract_z
Co1 Co 0.000 0.000 0.000
Co2 Co 0.000 0.500 0.000
Co3 Co 0.080 0.221 0.785
Co4 Co 0.140 0.927 0.572
Co5 Co 0.213 0.642 0.356
Co6 Co 0.292 0.362 0.141
Co7 Co 0.363 0.075 0.927
Co8 Co 0.429 0.789 0.715
Co9 Co 0.500 0.500 0.500
O1 O 0.025 0.271 0.994
O2 O 0.051 0.441 0.793
O3 O 0.090 0.997 0.788
O4 O 0.123 0.151 0.576
O5 O 0.167 0.706 0.567
O6 O 0.185 0.863 0.362
O7 O 0.239 0.420 0.350
O8 O 0.261 0.582 0.146
O9 O 0.296 0.133 0.133
O10 O 0.337 0.300 0.933
O11 O 0.381 0.849 0.920
O12 O 0.402 0.007 0.715
O13 O 0.452 0.564 0.709
O14 O 0.474 0.721 0.502
```

Peak list (8 most intense, 2θ = 10–90°, by angle)
d_spacing  I (rel.)  h k l
4.866  1000  1 1 -1
2.439  86  2 -3 0
2.410  200  2 -1 2
2.078  176  1 -4 1
2.016  331  3 0 1
1.573  90  3 1 -5
1.479  83  2 4 0
1.417  92  4 -4 2